Diffraction record for SrMg2Tl3. The powder X-ray diffraction pattern is simulated, not measured: it uses a structure optimized by DFT (GGA-PBE) and CuKα.

Most intense lines, 2θ from 5° to 70°, by angle:
- 21.03 deg, 4.224 Å, I = 58.3
- 30.66 deg, 2.916 Å, I = 100.0
- 35.29 deg, 2.543 Å, I = 32.0
- 35.43 deg, 2.534 Å, I = 77.3
- 47.55 deg, 1.912 Å, I = 30.1
- 59.84 deg, 1.546 Å, I = 23.4
- 60.67 deg, 1.526 Å, I = 29.3
- 63.57 deg, 1.464 Å, I = 26.2

Atomic structure:
```
12
Lattice="5.067 0.000 0.000 -2.534 4.388 0.000 0.000 0.000 15.604" Properties=species:S:1:pos:R:3 pbc="T T T"
Sr 0.000 0.000 3.901
Sr 0.000 0.000 11.703
Mg 0.000 2.925 1.207
Mg 0.000 2.925 6.596
Mg 2.534 1.463 9.009
Mg 2.534 1.463 14.398
Tl 0.000 0.000 0.000
Tl 0.000 0.000 7.802
Tl 0.000 2.925 9.899
Tl 0.000 2.925 13.507
Tl 2.534 1.463 2.097
Tl 2.534 1.463 5.705
```



Diffraction record for Ba5Tc. The powder X-ray diffraction pattern is simulated, not measured: it uses a structure optimized by DFT (GGA-PBE) and CuKα.

Most intense lines, 2θ from 5° to 70°, by angle:
- 5.03 deg, 17.568 Å, I = 24.7
- 23.78 deg, 3.742 Å, I = 36.6
- 25.35 deg, 3.514 Å, I = 26.5
- 26.38 deg, 3.378 Å, I = 100.0
- 30.57 deg, 2.924 Å, I = 64.0
- 40.12 deg, 2.248 Å, I = 31.2
- 43.78 deg, 2.068 Å, I = 25.3
- 51.84 deg, 1.764 Å, I = 30.5

Atomic structure:
```
6
Lattice="4.135 0.000 0.000 0.000 4.135 0.000 0.000 0.000 17.568" Properties=species:S:1:pos:R:3 pbc="T T T"
Ba 0.000 0.000 0.000
Ba 0.000 0.000 6.938
Ba 0.000 0.000 10.629
Ba 2.068 2.068 3.438
Ba 2.068 2.068 14.129
Tc 2.068 2.068 8.784
```



Diffraction record for K2Li2NpTe4. The powder X-ray diffraction pattern is simulated, not measured: it uses a structure optimized by DFT (GGA-PBE) and CuKα.

Most intense lines, 2θ from 5° to 70°, by angle:
- 11.30 deg, 7.829 Å, I = 51.8
- 11.45 deg, 7.728 Å, I = 42.1
- 13.03 deg, 6.794 Å, I = 26.4
- 22.29 deg, 3.989 Å, I = 46.9
- 29.08 deg, 3.070 Å, I = 100.0
- 30.55 deg, 2.926 Å, I = 34.6
- 38.75 deg, 2.324 Å, I = 28.0
- 44.25 deg, 2.047 Å, I = 27.3

Atomic structure:
```
9
Lattice="8.233 -2.281 0.000 8.233 2.281 0.000 -2.874 0.000 7.829" Properties=species:S:1:pos:R:3 pbc="T T T"
K 2.077 0.000 0.514
K 11.515 0.000 7.316
Li 3.769 0.000 3.996
Li 9.823 0.000 3.834
Np -1.437 0.000 3.915
Te 1.280 0.000 5.352
Te 5.879 0.000 5.783
Te 7.712 0.000 2.046
Te 12.311 0.000 2.478
```



Diffraction record for ZnPPd3. The powder X-ray diffraction pattern is simulated, not measured: it uses a structure optimized by DFT (GGA-PBE) and CuKα.

Most intense lines, 2θ from 5° to 70°, by angle:
- 34.42 deg, 2.605 Å, I = 56.6
- 35.29 deg, 2.544 Å, I = 37.3
- 37.74 deg, 2.384 Å, I = 71.5
- 38.22 deg, 2.355 Å, I = 100.0
- 39.61 deg, 2.275 Å, I = 42.4
- 40.82 deg, 2.210 Å, I = 47.7
- 46.33 deg, 1.960 Å, I = 34.2
- 47.01 deg, 1.933 Å, I = 57.4

Atomic structure:
```
10
Lattice="2.974 0.000 0.000 0.000 3.986 6.607 0.000 -3.986 6.607" Properties=species:S:1:pos:R:3 pbc="T T T"
Zn 0.000 0.000 0.000
Zn 1.487 0.000 6.258
P 1.487 -1.710 9.549
P 1.487 1.710 9.549
Pd 0.000 -1.488 4.693
Pd 0.000 -1.619 7.680
Pd 0.000 1.488 4.693
Pd 0.000 1.619 7.680
Pd 1.487 0.000 2.291
Pd 1.487 0.000 11.100
```